# CoReGe2O6
Calculated X-ray powder pattern, Cu Kα. Input: a structure optimized by DFT (PBE+U).
Kinematic intensities with the Lorentz-polarization factor, no thermal factor.

Crystal structure
```
CoReGe2O6
1.0
0.000 3.888 3.888
3.888 0.000 3.888
3.888 3.888 0.000
Co Re Ge O
1 1 2 6
Cartesian
0.000 0.000 0.000
3.888 3.888 3.888
1.944 1.944 1.944
5.832 5.832 5.832
3.888 3.888 1.981
3.888 1.981 3.888
5.795 3.888 3.888
1.981 3.888 3.888
3.888 5.795 3.888
3.888 3.888 5.795
```

The 8 most intense peaks (5 to 70 degrees two-theta), sorted by position:
2θ = 19.78°, I 26
2θ = 22.87°, I 16
2θ = 32.57°, I 100
2θ = 38.39°, I 14
2θ = 46.73°, I 33
2θ = 51.21°, I 6
2θ = 58.12°, I 39
2θ = 68.23°, I 19